(1)
Structure and theoretical XRD peak list of In2AgW (a crystal structure in Alexandria, relaxed with PBE; Cu Ka).
Peak positions follow from Bragg's law for the DFT cell and can differ from measured ones.

Structural model:
Cell: 2.965 5.004 5.201 Å, 90.00 90.00 90.00°
Space group Pmm2 (No. 25)
Asymmetric unit:
In  0.000  0.000  0.000 (multiplicity 1)
In  0.000  0.500  0.406 (multiplicity 1)
Ag  0.500  0.000  0.521 (multiplicity 1)
W  0.500  0.500  0.897 (multiplicity 1)

Principal peaks in the range 10° ≤ 2θ ≤ 80°, most intense first:
- hkl 1 1 1, 39.34°, I = 100
- hkl 0 2 0, 35.89°, I = 36
- hkl 0 0 2, 34.49°, I = 24
- hkl 0 1 2, 39.04°, I = 24
- hkl 1 3 1, 66.82°, I = 20
- hkl 0 2 2, 50.63°, I = 16
- hkl 1 2 3, 73.78°, I = 13
- hkl 1 0 3, 62.01°, I = 11
- hkl 1 0 1, 34.83°, I = 10
- hkl 2 2 0, 74.38°, I = 8
- hkl 0 1 4, 75.55°, I = 7
- hkl 2 0 0, 62.67°, I = 7


(2)
Structure and theoretical XRD peak list of InAgW2 (a crystal structure in Alexandria, relaxed with PBE; Cu Ka).
Peak positions follow from Bragg's law for the DFT cell and can differ from measured ones.

Structural model:
Cell: 3.251 4.753 9.348 Å, 90.00 90.00 90.00°
Space group Cmm2 (No. 35)
Asymmetric unit:
In  0.000  0.000  0.000 (multiplicity 2)
Ag  0.000  0.500  0.264 (multiplicity 2)
W  0.000  0.000  0.518 (multiplicity 2)
W  0.000  0.500  0.738 (multiplicity 2)

Principal peaks in the range 10° ≤ 2θ ≤ 80°, most intense first:
- hkl 1 1 2, 38.69°, I = 100
- hkl 0 2 0, 37.86°, I = 27
- hkl 0 0 4, 38.52°, I = 23
- hkl 1 3 2, 68.93°, I = 18
- hkl 0 2 4, 55.12°, I = 16
- hkl 1 1 6, 69.80°, I = 14
- hkl 2 2 0, 70.14°, I = 9
- hkl 2 0 0, 56.62°, I = 8
- hkl 2 0 4, 70.57°, I = 8
- hkl 1 1 3, 44.56°, I = 6
- hkl 0 2 1, 39.11°, I = 2
- hkl 0 0 5, 48.70°, I = 2